(1)
Theoretical X-ray diffraction stick pattern of YTlS14 for a wavelength of 1.5418 Å, from DFT lattice parameters and positions (PBE).

Largest 10 diffraction maxima, in order of rising 2θ, 2θ from 15° to 90°:
| (hkl) | 2θ/deg | I/Imax |
| --- | --- | --- |
| 2 0 -2 | 15.83 | 71.7 |
| 2 0 2 | 17.70 | 89.2 |
| 2 2 0 | 23.41 | 33.8 |
| 4 0 -2 | 24.28 | 100.0 |
| 2 0 -4 | 26.61 | 22.0 |
| 4 2 -2 | 32.03 | 35.5 |
| 2 2 -4 | 33.90 | 23.6 |
| 4 0 4 | 35.82 | 21.0 |
| 3 3 2 | 38.43 | 20.3 |
| 1 3 -4 | 40.63 | 24.4 |

Structural model:
```
data_YTlS14
_chemical_formula_sum 'Y4 Tl4 S56'
_cell_length_a 16.175
_cell_length_b 8.625
_cell_length_c 14.089
_cell_angle_alpha 90.00
_cell_angle_beta 96.47
_cell_angle_gamma 90.00
_symmetry_space_group_name_H-M 'C 1 2/c 1'
_symmetry_Int_Tables_number 15
loop_
_symmetry_equiv_pos_as_xyz
'x,y,z'
'-x,-y,-z'
'-x,y,-z+1/2'
'x,-y,z+1/2'
'x+1/2,y+1/2,z'
'-x+1/2,-y+1/2,-z'
'-x+1/2,y+1/2,-z+1/2'
'x+1/2,-y+1/2,z+1/2'
loop_
_atom_site_label
_atom_site_fract_x
_atom_site_fract_y
_atom_site_fract_z
Y1 0.250 0.250 0.000
Tl1 0.000 0.023 0.750
S1 0.050 0.449 0.898
S2 0.056 0.383 0.294
S3 0.116 0.259 0.860
S4 0.152 0.022 0.077
S5 0.166 0.344 0.555
S6 0.220 0.477 0.130
S7 0.230 0.154 0.617
```

---

(2)
Theoretical X-ray diffraction stick pattern of CePuGa2 for a wavelength of 1.5418 Å, from DFT lattice parameters and positions (PBE).

Largest 10 diffraction maxima, in order of rising 2θ, 2θ from 15° to 90°:
| (hkl) | 2θ/deg | I/Imax |
| --- | --- | --- |
| 0 2 0 | 20.43 | 31.5 |
| 2 0 0 | 26.22 | 17.4 |
| 2 2 0 | 33.47 | 100.0 |
| 0 2 2 | 36.15 | 79.9 |
| 2 0 2 | 39.86 | 61.1 |
| 0 4 0 | 41.56 | 27.6 |
| 2 2 2 | 45.20 | 16.1 |
| 2 4 2 | 58.94 | 38.8 |
| 4 2 2 | 66.67 | 26.8 |
| 2 2 4 | 71.58 | 21.4 |

Structural model:
```
data_CePuGa2
_chemical_formula_sum 'Ce4 Pu4 Ga8'
_cell_length_a 6.798
_cell_length_b 8.693
_cell_length_c 6.058
_cell_angle_alpha 90.00
_cell_angle_beta 90.00
_cell_angle_gamma 90.00
_symmetry_space_group_name_H-M 'I m m a'
_symmetry_Int_Tables_number 74
_symmetry_space_group_name_Hall '-I 2b 2'
loop_
_atom_site_label
_atom_site_fract_x
_atom_site_fract_y
_atom_site_fract_z
Ce1 0.000 0.250 0.007
Pu1 0.000 0.250 0.485
Ga1 0.250 0.005 0.750
```

---

(3)
Theoretical X-ray diffraction stick pattern of AlH3Br for a wavelength of 1.5418 Å, from DFT lattice parameters and positions (PBE).

Largest 10 diffraction maxima, in order of rising 2θ, 2θ from 15° to 90°:
| (hkl) | 2θ/deg | I/Imax |
| --- | --- | --- |
| 1 0 -1 | 23.92 | 93.2 |
| 0 1 1 | 24.14 | 100.0 |
| 1 1 0 | 28.42 | 84.2 |
| 1 1 1 | 31.45 | 41.2 |
| 1 0 2 | 33.39 | 36.8 |
| 0 1 2 | 33.55 | 36.1 |
| 1 1 -2 | 39.29 | 32.3 |
| 2 0 0 | 40.33 | 53.4 |
| 2 1 -1 | 47.57 | 32.7 |
| 1 1 3 | 50.06 | 33.4 |

Structural model:
```
data_AlH3Br
_chemical_formula_sum 'Al2 H6 Br2'
_cell_length_a 4.470
_cell_length_b 4.413
_cell_length_c 6.711
_cell_angle_alpha 90.00
_cell_angle_beta 90.01
_cell_angle_gamma 90.00
_symmetry_space_group_name_H-M 'P 1 21 1'
_symmetry_Int_Tables_number 4
loop_
_symmetry_equiv_pos_as_xyz
'x,y,z'
'-x,y+1/2,-z'
loop_
_atom_site_label
_atom_site_fract_x
_atom_site_fract_y
_atom_site_fract_z
Al1 0.250 0.000 0.009
H1 0.002 0.259 0.092
H2 0.247 0.805 0.258
H3 0.498 0.258 0.092
Br1 0.250 0.262 0.677
```

---

(4)
Theoretical X-ray diffraction stick pattern of UCuCl6 for a wavelength of 1.5418 Å, from DFT lattice parameters and positions (PBE).

Largest 10 diffraction maxima, in order of rising 2θ, 2θ from 15° to 90°:
| (hkl) | 2θ/deg | I/Imax |
| --- | --- | --- |
| 0 1 0 | 16.32 | 28.1 |
| 1 0 0 | 18.54 | 100.0 |
| 0 1 1 | 25.64 | 29.6 |
| 1 1 -1 | 27.03 | 13.6 |
| 1 1 -2 | 31.14 | 29.2 |
| 2 0 0 | 37.60 | 21.8 |
| -2 1 3 | 41.31 | 37.7 |
| 2 1 -1 | 43.14 | 19.2 |
| -3 1 3 | 46.91 | 14.9 |
| 0 3 -1 | 47.75 | 16.5 |

Structural model:
```
data_UCuCl6
_chemical_formula_sum 'U1 Cu1 Cl6'
_cell_length_a 6.596
_cell_length_b 6.597
_cell_length_c 6.964
_cell_angle_alpha 90.06
_cell_angle_beta 118.21
_cell_angle_gamma 119.94
_symmetry_space_group_name_H-M 'P -1'
_symmetry_Int_Tables_number 2
loop_
_symmetry_equiv_pos_as_xyz
'x,y,z'
'-x,-y,-z'
loop_
_atom_site_label
_atom_site_fract_x
_atom_site_fract_y
_atom_site_fract_z
U1 0.000 0.000 0.000
Cu1 0.000 0.500 0.500
Cl1 0.122 0.251 0.747
Cl2 0.123 0.375 0.253
Cl3 0.496 0.871 0.747
```

---

(5)
Theoretical X-ray diffraction stick pattern of Cu8TeS5 for a wavelength of 1.5418 Å, from DFT lattice parameters and positions (PBE).

Largest 10 diffraction maxima, in order of rising 2θ, 2θ from 15° to 90°:
| (hkl) | 2θ/deg | I/Imax |
| --- | --- | --- |
| 2 2 0 | 25.34 | 46.2 |
| 3 1 1 | 29.80 | 55.4 |
| 2 2 2 | 31.16 | 84.0 |
| 4 0 0 | 36.14 | 62.1 |
| 3 3 1 | 39.51 | 23.4 |
| 4 2 2 | 44.65 | 18.7 |
| 5 1 1 | 47.52 | 56.4 |
| 4 4 0 | 52.03 | 100.0 |
| 6 2 2 | 61.90 | 22.0 |
| 5 5 5 | 84.36 | 16.2 |

Structural model:
```
data_Cu8TeS5
_chemical_formula_sum 'Cu32 Te4 S20'
_cell_length_a 9.943
_cell_length_b 9.943
_cell_length_c 9.943
_cell_angle_alpha 90.00
_cell_angle_beta 90.00
_cell_angle_gamma 90.00
_symmetry_space_group_name_H-M 'F -4 3 m'
_symmetry_Int_Tables_number 216
_symmetry_space_group_name_Hall 'F -4 2 3'
loop_
_atom_site_label
_atom_site_fract_x
_atom_site_fract_y
_atom_site_fract_z
Cu1 0.102 0.102 0.102
Cu2 0.131 0.131 0.631
Te1 0.250 0.250 0.250
S1 0.000 0.000 0.500
S2 0.130 0.130 0.870
```

---

(6)
Theoretical X-ray diffraction stick pattern of CaGe2BOs2 for a wavelength of 1.5418 Å, from DFT lattice parameters and positions (PBE).

Largest 10 diffraction maxima, in order of rising 2θ, 2θ from 15° to 90°:
| (hkl) | 2θ/deg | I/Imax |
| --- | --- | --- |
| 0 0 1 | 15.98 | 83.7 |
| 1 1 1 | 34.21 | 100.0 |
| 1 0 2 | 38.89 | 14.1 |
| 2 0 0 | 43.00 | 47.0 |
| 1 1 2 | 44.67 | 56.6 |
| 2 0 1 | 46.16 | 23.5 |
| 2 2 0 | 62.44 | 15.4 |
| 3 1 1 | 73.16 | 22.2 |
| 3 1 2 | 79.99 | 21.1 |
| 2 0 4 | 83.46 | 19.8 |

Structural model:
```
data_CaGe2BOs2
_chemical_formula_sum 'Ca1 Ge2 B1 Os2'
_cell_length_a 4.207
_cell_length_b 4.207
_cell_length_c 5.547
_cell_angle_alpha 90.00
_cell_angle_beta 90.00
_cell_angle_gamma 90.00
_symmetry_space_group_name_H-M 'P 4/m m m'
_symmetry_Int_Tables_number 123
_symmetry_space_group_name_Hall '-P 4 2'
loop_
_atom_site_label
_atom_site_fract_x
_atom_site_fract_y
_atom_site_fract_z
Ca1 0.000 0.000 0.000
Ge1 0.500 0.500 0.225
B1 0.000 0.000 0.500
Os1 0.000 0.500 0.500
```

---

(7)
Theoretical X-ray diffraction stick pattern of In2Ag6Au3 for a wavelength of 1.5418 Å, from DFT lattice parameters and positions (PBE).

Largest 10 diffraction maxima, in order of rising 2θ, 2θ from 15° to 90°:
| (hkl) | 2θ/deg | I/Imax |
| --- | --- | --- |
| 1 -1 1 | 36.59 | 51.2 |
| 1 2 0 | 37.04 | 100.0 |
| 1 1 4 | 37.23 | 48.7 |
| 0 1 -4 | 42.38 | 33.7 |
| 2 1 1 | 42.87 | 32.7 |
| 0 2 3 | 43.62 | 31.2 |
| 2 0 5 | 61.69 | 10.8 |
| 2 2 -3 | 62.00 | 21.7 |
| -2 1 2 | 62.42 | 10.4 |
| 1 0 8 | 74.28 | 12.4 |

Structural model:
```
data_In2Ag6Au3
_chemical_formula_sum 'In2 Ag6 Au3'
_cell_length_a 4.220
_cell_length_b 5.121
_cell_length_c 10.699
_cell_angle_alpha 77.76
_cell_angle_beta 78.77
_cell_angle_gamma 66.37
_symmetry_space_group_name_H-M 'P -1'
_symmetry_Int_Tables_number 2
loop_
_symmetry_equiv_pos_as_xyz
'x,y,z'
'-x,-y,-z'
loop_
_atom_site_label
_atom_site_fract_x
_atom_site_fract_y
_atom_site_fract_z
In1 0.181 0.410 0.228
Ag1 0.274 0.864 0.588
Ag2 0.366 0.314 0.955
Ag3 0.451 0.775 0.322
Au1 0.000 0.500 0.500
Au2 0.091 0.954 0.862
```

---

(8)
Theoretical X-ray diffraction stick pattern of KYIN2 for a wavelength of 1.5418 Å, from DFT lattice parameters and positions (PBE).

Largest 10 diffraction maxima, in order of rising 2θ, 2θ from 15° to 90°:
| (hkl) | 2θ/deg | I/Imax |
| --- | --- | --- |
| 1 0 0 | 18.90 | 100.0 |
| 1 1 0 | 26.85 | 72.7 |
| 0 0 2 | 28.31 | 49.9 |
| 1 1 1 | 30.42 | 21.7 |
| 1 0 2 | 34.26 | 44.7 |
| 2 0 0 | 38.33 | 42.4 |
| 1 1 2 | 39.41 | 51.9 |
| 2 1 0 | 43.07 | 24.2 |
| 2 0 2 | 48.33 | 41.8 |
| 2 1 2 | 52.34 | 26.9 |

Structural model:
```
data_KYIN2
_chemical_formula_sum 'K1 Y1 I1 N2'
_cell_length_a 4.696
_cell_length_b 4.696
_cell_length_c 6.305
_cell_angle_alpha 90.00
_cell_angle_beta 90.00
_cell_angle_gamma 90.00
_symmetry_space_group_name_H-M 'P 4/m m m'
_symmetry_Int_Tables_number 123
_symmetry_space_group_name_Hall '-P 4 2'
loop_
_atom_site_label
_atom_site_fract_x
_atom_site_fract_y
_atom_site_fract_z
K1 0.000 0.000 0.000
Y1 0.500 0.500 0.500
I1 0.500 0.500 0.000
N1 0.000 0.500 0.500
```

---

Repeat the seventh record exactly.
Theoretical X-ray diffraction stick pattern of In2Ag6Au3 for a wavelength of 1.5418 Å, from DFT lattice parameters and positions (PBE).

Largest 10 diffraction maxima, in order of rising 2θ, 2θ from 15° to 90°:
| (hkl) | 2θ/deg | I/Imax |
| --- | --- | --- |
| 1 -1 1 | 36.59 | 51.2 |
| 1 2 0 | 37.04 | 100.0 |
| 1 1 4 | 37.23 | 48.7 |
| 0 1 -4 | 42.38 | 33.7 |
| 2 1 1 | 42.87 | 32.7 |
| 0 2 3 | 43.62 | 31.2 |
| 2 0 5 | 61.69 | 10.8 |
| 2 2 -3 | 62.00 | 21.7 |
| -2 1 2 | 62.42 | 10.4 |
| 1 0 8 | 74.28 | 12.4 |

Structural model:
```
data_In2Ag6Au3
_chemical_formula_sum 'In2 Ag6 Au3'
_cell_length_a 4.220
_cell_length_b 5.121
_cell_length_c 10.699
_cell_angle_alpha 77.76
_cell_angle_beta 78.77
_cell_angle_gamma 66.37
_symmetry_space_group_name_H-M 'P -1'
_symmetry_Int_Tables_number 2
loop_
_symmetry_equiv_pos_as_xyz
'x,y,z'
'-x,-y,-z'
loop_
_atom_site_label
_atom_site_fract_x
_atom_site_fract_y
_atom_site_fract_z
In1 0.181 0.410 0.228
Ag1 0.274 0.864 0.588
Ag2 0.366 0.314 0.955
Ag3 0.451 0.775 0.322
Au1 0.000 0.500 0.500
Au2 0.091 0.954 0.862
```